Starting from a structure optimized by DFT (PBE), the powder diffraction line list of TaAlH was calculated for Cu Kα X-rays.
Peak positions follow from Bragg's law for the DFT cell and can differ from measured ones.

Principal peaks in the range 2θ from 10° to 80°, by angle:
| 2theta | Rel. int. | hkl |
| --- | --- | --- |
| 12.67 | 82 | 0 1 0 |
| 28.85 | 100 | 0 1 1 |
| 32.50 | 74 | 1 1 -1 |
| 36.60 | 92 | 0 2 1 |
| 39.62 | 75 | 1 2 -1 |
| 39.78 | 47 | 1 0 0 |

Atomic structure:
```
data_TaAlH
_chemical_formula_sum 'Ta2 Al2 H2'
_cell_length_a 2.998
_cell_length_b 6.985
_cell_length_c 4.566
_cell_angle_alpha 90.00
_cell_angle_beta 130.89
_cell_angle_gamma 90.00
_symmetry_space_group_name_H-M 'P 1 2/c 1'
_symmetry_Int_Tables_number 13
loop_
_symmetry_equiv_pos_as_xyz
'x,y,z'
'-x,-y,-z'
'-x,y,-z+1/2'
'x,-y,z+1/2'
loop_
_atom_site_label
_atom_site_fract_x
_atom_site_fract_y
_atom_site_fract_z
Ta1 0.000 0.166 0.250
Al1 0.000 0.397 0.750
H1 0.500 0.022 0.750
```